No. 1
Diffraction record for BaAlCr2. The powder XRD pattern is computed, not measured: it uses DFT lattice parameters and positions (GGA-PBE) and λ = 1.5418 Å (Cu Kα).
Peak positions follow from Bragg's law for the DFT cell and can differ from measured ones.

Structural model:
Lattice parameters (Å, degrees): 3.0958 4.5675 6.5027 90.00 98.13 90.00
Positions (direct):
Ba (0.0000, 0.0000, 0.0000)
Al (0.5000, 0.0000, 0.5000)
Cr (0.2771, 0.5000, 0.6167)
Cr (0.7229, 0.5000, 0.3833)

Peak list (10 most intense, 2θ from 10° to 90°, by angle)
2θ = 23.89°, I 1000; 2θ = 27.72°, I 291; 2θ = 34.11°, I 594; 2θ = 36.41°, I 451; 2θ = 37.55°, I 192; 2θ = 39.46°, I 271; 2θ = 48.12°, I 197; 2θ = 52.45°, I 209; 2θ = 53.14°, I 183; 2θ = 55.62°, I 188


No. 2
Diffraction record for BaAlCrS4. The powder XRD pattern is computed, not measured: it uses DFT lattice parameters and positions (GGA-PBE) and λ = 1.5418 Å (Cu Kα).
Peak positions follow from Bragg's law for the DFT cell and can differ from measured ones.

Structural model:
Lattice parameters (Å, degrees): 5.1592 6.7777 9.5244 90.00 105.16 90.00
Positions (direct):
Ba (0.2003, 0.2500, 0.3569)
Ba (0.7997, 0.7500, 0.6431)
Al (0.0856, 0.2500, 0.7807)
Al (0.9144, 0.7500, 0.2193)
Cr (0.4386, 0.7500, 0.9938)
Cr (0.5614, 0.2500, 0.0062)
S (0.0077, 0.2500, 0.0009)
S (0.2004, 0.7500, 0.4338)
S (0.4027, 0.0025, 0.8137)
S (0.4027, 0.4975, 0.8137)
S (0.5973, 0.5025, 0.1863)
S (0.5973, 0.9975, 0.1863)
S (0.7996, 0.2500, 0.5662)
S (0.9923, 0.7500, 0.9991)

Peak list (10 most intense, 2θ from 10° to 90°, by angle)
2θ = 22.18°, I 598; 2θ = 22.42°, I 402; 2θ = 22.64°, I 799; 2θ = 23.38°, I 522; 2θ = 26.29°, I 812; 2θ = 29.70°, I 388; 2θ = 31.97°, I 475; 2θ = 34.80°, I 1000; 2θ = 34.97°, I 646; 2θ = 39.65°, I 629


No. 3
Diffraction record for BaAlCrSe4. The powder XRD pattern is computed, not measured: it uses DFT lattice parameters and positions (GGA-PBE) and λ = 1.5418 Å (Cu Kα).
Peak positions follow from Bragg's law for the DFT cell and can differ from measured ones.

Structural model:
Lattice parameters (Å, degrees): 5.4633 7.0580 9.9594 90.00 105.89 90.00
Positions (direct):
Ba (0.1704, 0.2500, 0.3589)
Ba (0.8296, 0.7500, 0.6411)
Al (0.3065, 0.7500, 0.2196)
Al (0.6935, 0.2500, 0.7804)
Cr (0.4482, 0.2500, 0.0033)
Cr (0.5518, 0.7500, 0.9967)
Se (0.0051, 0.7500, 0.9959)
Se (0.2304, 0.7500, 0.4388)
Se (0.4029, 0.5011, 0.8090)
Se (0.4029, 0.9989, 0.8090)
Se (0.5971, 0.0011, 0.1910)
Se (0.5971, 0.4989, 0.1910)
Se (0.7696, 0.2500, 0.5612)
Se (0.9949, 0.2500, 0.0041)

Peak list (10 most intense, 2θ from 10° to 90°, by angle)
2θ = 25.24°, I 257; 2θ = 28.45°, I 1000; 2θ = 30.52°, I 786; 2θ = 31.49°, I 420; 2θ = 32.79°, I 627; 2θ = 33.32°, I 370; 2θ = 38.00°, I 463; 2θ = 46.10°, I 358; 2θ = 51.05°, I 408; 2θ = 60.17°, I 239


No. 4
Diffraction record for Cs2BaAl. The powder XRD pattern is computed, not measured: it uses DFT lattice parameters and positions (GGA-PBE) and λ = 1.5418 Å (Cu Kα).
Peak positions follow from Bragg's law for the DFT cell and can differ from measured ones.

Structural model:
Lattice parameters (Å, degrees): 6.5893 6.5893 6.5893 60.00 60.00 60.00
Positions (direct):
Cs (0.2500, 0.2500, 0.2500)
Cs (0.7500, 0.7500, 0.7500)
Ba (0.0000, 0.0000, 0.0000)
Al (0.5000, 0.5000, 0.5000)

Peak list (10 most intense, 2θ from 10° to 90°, by angle)
2θ = 16.48°, I 130; 2θ = 19.05°, I 67; 2θ = 27.06°, I 1000; 2θ = 31.85°, I 81; 2θ = 38.65°, I 190; 2θ = 47.82°, I 410; 2θ = 55.81°, I 130; 2θ = 63.10°, I 180; 2θ = 76.50°, I 208; 2θ = 89.17°, I 109


No. 5
Diffraction record for Cs2BaAlF6. The powder XRD pattern is computed, not measured: it uses DFT lattice parameters and positions (GGA-PBE) and λ = 1.5418 Å (Cu Kα).
Peak positions follow from Bragg's law for the DFT cell and can differ from measured ones.

Structural model:
Lattice parameters (Å, degrees): 6.6803 6.6803 6.8392 90.00 90.00 120.00
Positions (direct):
Cs (0.3333, 0.6667, 0.3872)
Cs (0.6667, 0.3333, 0.6128)
Ba (0.0000, 0.0000, 0.0000)
Al (0.0000, 0.0000, 0.5000)
F (0.1276, 0.2552, 0.6612)
F (0.1276, 0.8724, 0.6612)
F (0.2552, 0.1276, 0.3388)
F (0.7448, 0.8724, 0.6612)
F (0.8724, 0.1276, 0.3388)
F (0.8724, 0.7448, 0.3388)

Peak list (10 most intense, 2θ from 10° to 90°, by angle)
2θ = 12.94°, I 260; 2θ = 20.10°, I 1000; 2θ = 26.69°, I 859; 2θ = 30.36°, I 430; 2θ = 33.64°, I 574; 2θ = 37.64°, I 183; 2θ = 40.86°, I 376; 2θ = 43.45°, I 339; 2θ = 49.48°, I 212; 2θ = 69.82°, I 195


No. 6
Diffraction record for Cs2BaAlH6. The powder XRD pattern is computed, not measured: it uses DFT lattice parameters and positions (GGA-PBE) and λ = 1.5418 Å (Cu Kα).
Peak positions follow from Bragg's law for the DFT cell and can differ from measured ones.

Structural model:
Lattice parameters (Å, degrees): 6.3220 6.3220 6.3220 120.14 119.87 89.99
Positions (direct):
Cs (0.2487, 0.2487, 0.0000)
Cs (0.7513, 0.7513, 0.0000)
Ba (0.5000, 0.0000, 0.5000)
Al (0.0000, 0.5000, 0.5000)
H (0.2007, 0.2984, 0.4991)
H (0.2012, 0.7012, 0.5000)
H (0.2007, 0.7016, 0.9023)
H (0.7993, 0.2984, 0.0977)
H (0.7988, 0.2988, 0.5000)
H (0.7993, 0.7016, 0.5009)

Peak list (10 most intense, 2θ from 10° to 90°, by angle)
2θ = 17.18°, I 149; 2θ = 28.22°, I 1000; 2θ = 28.29°, I 199; 2θ = 33.23°, I 99; 2θ = 40.35°, I 234; 2θ = 49.92°, I 241; 2θ = 50.04°, I 239; 2θ = 58.39°, I 103; 2θ = 66.08°, I 177; 2θ = 80.25°, I 83


No. 7
Diffraction record for Ba4AlCu5. The powder XRD pattern is computed, not measured: it uses DFT lattice parameters and positions (GGA-PBE) and λ = 1.5418 Å (Cu Kα).
Peak positions follow from Bragg's law for the DFT cell and can differ from measured ones.

Structural model:
Lattice parameters (Å, degrees): 7.8960 7.8960 7.8960 96.50 96.50 140.69
Positions (direct):
Ba (0.0000, 0.2824, 0.2824)
Ba (0.0000, 0.7176, 0.7176)
Ba (0.2824, 0.0000, 0.2824)
Ba (0.7176, 0.0000, 0.7176)
Al (0.2921, 0.2921, 0.0000)
Cu (0.3563, 0.3563, 0.7011)
Cu (0.3563, 0.6552, 0.0000)
Cu (0.6552, 0.3563, 0.0000)
Cu (0.6552, 0.6552, 0.2989)
Cu (0.7732, 0.7732, 0.0000)

Peak list (10 most intense, 2θ from 10° to 90°, by angle)
2θ = 23.93°, I 259; 2θ = 25.29°, I 420; 2θ = 30.56°, I 1000; 2θ = 33.75°, I 210; 2θ = 36.24°, I 285; 2θ = 39.18°, I 155; 2θ = 41.80°, I 272; 2θ = 49.75°, I 235; 2θ = 58.39°, I 147; 2θ = 74.98°, I 141


No. 8
Diffraction record for Ba2Al12Cu7. The powder XRD pattern is computed, not measured: it uses DFT lattice parameters and positions (GGA-PBE) and λ = 1.5418 Å (Cu Kα).
Peak positions follow from Bragg's law for the DFT cell and can differ from measured ones.

Structural model:
Lattice parameters (Å, degrees): 10.2007 10.2007 4.0928 90.00 90.00 120.00
Positions (direct):
Ba (0.0000, 0.0000, 0.0000)
Ba (0.3333, 0.6667, 0.5000)
Al (0.0350, 0.7523, 0.5000)
Al (0.1077, 0.3850, 0.0000)
Al (0.2477, 0.2827, 0.5000)
Al (0.2773, 0.8923, 0.0000)
Al (0.3856, 0.1948, 0.0000)
Al (0.5477, 0.1205, 0.5000)
Al (0.5728, 0.4523, 0.5000)
Al (0.6150, 0.7227, 0.0000)
Al (0.7173, 0.9650, 0.5000)
Al (0.8052, 0.1908, 0.0000)
Al (0.8092, 0.6144, 0.0000)
Al (0.8795, 0.4272, 0.5000)
Cu (0.0479, 0.6069, 0.0000)
Cu (0.2656, 0.0289, 0.5000)
Cu (0.3931, 0.4410, 0.0000)
Cu (0.5590, 0.9521, 0.0000)
Cu (0.6667, 0.3333, 0.0000)
Cu (0.7633, 0.7344, 0.5000)
Cu (0.9711, 0.2367, 0.5000)

Peak list (10 most intense, 2θ from 10° to 90°, by angle)
2θ = 26.70°, I 187; 2θ = 29.76°, I 534; 2θ = 30.35°, I 364; 2θ = 34.67°, I 1000; 2θ = 35.19°, I 149; 2θ = 43.03°, I 220; 2θ = 44.26°, I 278; 2θ = 47.14°, I 282; 2θ = 50.23°, I 354; 2θ = 66.65°, I 193